Structure and calculated X-ray powder pattern of Y3AlCo3 (a structure optimized by DFT (PBE); Cu Kα, 1.54184 Å).

Structure:
```
Y3AlCo3
1.0
2.0303 -5.0518 0.0000
2.0303 5.0518 0.0000
0.0000 0.0000 12.9831
Y Al Co
6 2 6
Cartesian
2.0303 4.9966 9.7373
2.0303 2.0935 7.8464
2.0303 2.0935 11.6282
2.0303 -2.0935 1.3549
2.0303 -2.0935 5.1367
2.0303 -4.9966 3.2458
0.0000 0.0000 0.0000
0.0000 0.0000 6.4916
2.0303 2.0376 3.2458
2.0303 0.8291 1.2248
2.0303 0.8291 5.2667
2.0303 -0.8291 7.7164
2.0303 -0.8291 11.7583
2.0303 -2.0376 9.7373
```

The 10 most intense peaks (5° ≤ 2θ ≤ 70°), low angle first:
27.37°, I 35
31.48°, I 62
32.80°, I 27
34.60°, I 84
36.54°, I 80
40.57°, I 100
41.39°, I 52
41.74°, I 38
44.63°, I 55
62.49°, I 29



Structure and calculated X-ray powder pattern of Al2ZnCo (a structure optimized by DFT (PBE); Cu Kα, 1.54184 Å).

Structure:
```
Al2ZnCo
1.0
3.7018 0.0000 0.0000
0.0000 3.7018 0.0000
0.0000 0.0000 7.7541
Al Zn Co
4 2 2
Cartesian
0.0000 0.0000 0.0000
0.0000 1.8509 1.9385
1.8509 0.0000 5.8156
1.8509 1.8509 3.8770
0.0000 0.0000 3.8770
1.8509 1.8509 0.0000
0.0000 1.8509 5.8156
1.8509 0.0000 1.9385
```

The 8 most intense peaks (5° ≤ 2θ ≤ 70°), low angle first:
26.69°, I 30
41.63°, I 100
42.66°, I 9
46.87°, I 17
49.23°, I 30
56.87°, I 7
65.23°, I 2
67.15°, I 4



Structure and calculated X-ray powder pattern of Al2ZnCo3 (a structure optimized by DFT (PBE); Cu Kα, 1.54184 Å).

Structure:
```
Al2ZnCo3
1.0
2.8573 0.0000 0.0000
0.0000 2.8573 0.0000
0.0000 0.0000 8.5831
Al Zn Co
2 1 3
Cartesian
0.0000 0.0000 1.4444
0.0000 0.0000 7.1388
0.0000 0.0000 4.2916
1.4287 1.4287 0.0000
1.4287 1.4287 2.8146
1.4287 1.4287 5.7686
```

The 10 most intense peaks (5° ≤ 2θ ≤ 70°), low angle first:
10.31°, I 9
20.70°, I 2
31.29°, I 5
33.04°, I 4
37.83°, I 3
44.84°, I 100
46.16°, I 1
55.69°, I 1
63.21°, I 1
65.28°, I 15



Structure and calculated X-ray powder pattern of Zr2AlCo6 (a structure optimized by DFT (PBE); Cu Kα, 1.54184 Å).

Structure:
```
Zr2AlCo6
1.0
7.1232 0.0000 0.0000
-3.5616 6.1689 0.0000
0.0000 0.0000 2.7704
Zr Al Co
2 1 6
Cartesian
0.0000 4.1126 0.0000
3.5616 2.0563 0.0000
0.0000 0.0000 1.3852
-1.2490 2.1634 1.3852
-2.5458 4.4095 0.0000
1.0158 1.7594 0.0000
2.4981 0.0000 1.3852
2.3126 4.0055 1.3852
5.0917 0.0000 0.0000
```

The 10 most intense peaks (5° ≤ 2θ ≤ 70°), low angle first:
14.36°, I 10
28.95°, I 9
32.31°, I 7
38.61°, I 21
41.29°, I 100
43.93°, I 26
44.04°, I 95
51.21°, I 24
61.94°, I 22
67.63°, I 10



Structure and calculated X-ray powder pattern of Zr11Al9Co4 (a structure optimized by DFT (PBE); Cu Kα, 1.54184 Å).

Structure:
```
Zr11Al9Co4
1.0
6.6409 -10.0343 0.0000
6.6409 10.0343 0.0000
0.0000 0.0000 3.2683
Zr Al Co
11 9 4
Cartesian
0.0000 0.0000 0.0000
3.1648 3.4700 0.0000
6.6409 6.8500 0.0000
4.1752 0.0000 0.0000
6.6409 2.4625 0.0000
3.1648 -3.4700 0.0000
10.1171 3.4700 0.0000
6.6409 -2.4625 0.0000
9.1067 0.0000 0.0000
6.6409 -6.8500 0.0000
10.1171 -3.4700 0.0000
1.9667 1.4099 1.6341
5.2758 4.6998 1.6341
1.9667 -1.4099 1.6341
8.0061 4.6998 1.6341
6.6409 0.0000 1.6341
5.2758 -4.6998 1.6341
11.3152 1.4099 1.6341
8.0061 -4.6998 1.6341
11.3152 -1.4099 1.6341
4.5635 2.0639 1.6341
4.5635 -2.0639 1.6341
8.7183 2.0639 1.6341
8.7183 -2.0639 1.6341
```

The 10 most intense peaks (5° ≤ 2θ ≤ 70°), low angle first:
20.54°, I 30
27.29°, I 27
35.46°, I 24
36.72°, I 34
38.19°, I 64
38.51°, I 100
38.66°, I 99
41.04°, I 67
42.80°, I 24
56.30°, I 28



Structure and calculated X-ray powder pattern of ZrAl5Co6 (a structure optimized by DFT (PBE); Cu Kα, 1.54184 Å).

Structure:
```
ZrAl5Co6
1.0
4.1116 0.0000 0.0000
0.0000 5.8858 0.0000
-2.0660 0.0000 6.1701
Zr Al Co
1 5 6
Cartesian
0.0000 0.0000 0.0000
0.0000 2.9429 0.0000
-0.0074 0.0000 4.0683
-0.0066 2.9429 4.1301
2.0522 2.9429 2.0399
2.0530 0.0000 2.1017
-0.0034 1.5159 2.1047
-0.0034 4.3699 2.1047
2.0558 1.5496 0.0000
2.0558 4.3362 0.0000
2.0490 1.5159 4.0654
2.0490 4.3699 4.0654
```

The 10 most intense peaks (5° ≤ 2θ ≤ 70°), low angle first:
20.86°, I 3
27.43°, I 5
30.37°, I 4
30.75°, I 8
34.40°, I 4
43.76°, I 100
44.04°, I 49
63.19°, I 8
63.98°, I 8
64.10°, I 8



Structure and calculated X-ray powder pattern of Al8Cr5 (a structure optimized by DFT (PBE); Cu Kα, 1.54184 Å).

Structure:
```
Al8Cr5
1.0
6.3518 3.6672 2.6364
-6.3518 3.6672 2.6364
0.0000 -7.3345 2.6364
Al Cr
16 10
Cartesian
0.0000 0.0000 0.0000
-2.4426 -3.1895 2.8555
-3.9835 -0.5206 2.8555
0.0000 -4.6888 2.0864
-4.0606 2.3444 2.0864
-1.4291 -0.8251 2.1494
-4.1012 -2.3679 5.8576
1.4291 -0.8251 2.1494
0.0000 1.6502 2.1494
2.4426 -3.1895 2.8555
-1.5409 3.7101 2.8555
3.9835 -0.5206 2.8555
1.5409 3.7101 2.8555
4.0606 2.3444 2.0864
4.1012 -2.3678 5.8576
0.0000 4.7357 5.8576
0.0000 -2.4636 3.5193
-2.1335 1.2318 3.5193
-2.1359 -1.2331 4.6463
0.0000 0.0000 4.1135
2.1335 1.2318 3.5193
0.0000 -1.6000 6.0036
-1.3856 0.8000 6.0036
2.1359 -1.2331 4.6463
0.0000 2.4663 4.6463
1.3856 0.8000 6.0036
```

The 10 most intense peaks (5° ≤ 2θ ≤ 70°), low angle first:
13.79°, I 71
13.94°, I 29
24.22°, I 14
42.22°, I 100
42.49°, I 65
42.68°, I 99
47.42°, I 18
48.95°, I 11
49.53°, I 11
51.48°, I 11



Structure and calculated X-ray powder pattern of Al6Cr7 (a structure optimized by DFT (PBE); Cu Kα, 1.54184 Å).

Structure:
```
Al6Cr7
1.0
2.4290 1.4024 8.5736
-2.4290 1.4024 8.5736
0.0000 -2.8047 8.5736
Al Cr
6 7
Cartesian
0.0000 0.0000 1.2852
0.0000 0.0000 3.8948
0.0000 0.0000 8.5853
0.0000 0.0000 17.1356
0.0000 0.0000 21.8261
0.0000 0.0000 24.4357
-1.2368 -0.7141 10.9005
0.0000 -1.4281 14.8204
-1.2368 0.7141 14.8204
0.0000 0.0000 12.8604
1.2368 -0.7140 10.9005
0.0000 1.4281 10.9005
1.2368 0.7141 14.8204
```

The 10 most intense peaks (5° ≤ 2θ ≤ 70°), low angle first:
10.32°, I 39
20.72°, I 64
21.40°, I 41
42.16°, I 40
42.79°, I 100
43.15°, I 63
44.32°, I 55
45.36°, I 31
46.65°, I 97
49.96°, I 41